Structure and calculated X-ray diffraction stick pattern of Sc2ReIr3Rh6 (a crystal structure in Alexandria, relaxed with GGA-PBE; Cu Kα (weighted mean of Kα1 and Kα2)).

Atomic structure:
```
Sc2ReIr3Rh6
1.0
3.653 0.000 0.000
0.000 3.653 0.000
0.000 0.000 17.106
Sc Re Ir Rh
2 1 3 6
direct
0.000 0.000 0.211
0.000 0.000 0.789
0.000 0.000 0.500
0.500 0.500 0.000
0.500 0.500 0.282
0.500 0.500 0.718
0.000 0.500 0.394
0.000 0.500 0.606
0.500 0.000 0.394
0.500 0.000 0.606
0.500 0.500 0.138
0.500 0.500 0.862
```

Top 10 peaks for 10° ≤ 2θ ≤ 80°, by intensity:
d (Å)	Rel. int.
2.031	100
2.211	88
3.573	74
1.827	72
3.076	63
3.653	58
1.358	54
2.062	50
2.583	37
3.360	33


Structure and calculated X-ray diffraction stick pattern of Re4IrRu (a crystal structure in Alexandria, relaxed with GGA-PBE; Cu Kα (weighted mean of Kα1 and Kα2)).

Atomic structure:
```
Re4IrRu
1.0
5.841 -1.946 0.000
5.841 1.946 0.000
-3.909 0.000 7.769
Re Ir Ru
8 2 2
direct
0.041 0.041 0.377
0.126 0.126 0.121
0.375 0.375 0.376
0.457 0.457 0.125
0.543 0.543 0.875
0.625 0.625 0.624
0.874 0.874 0.879
0.959 0.959 0.623
0.293 0.293 0.627
0.707 0.707 0.373
0.208 0.208 0.875
0.792 0.792 0.125
```

Top 10 peaks for 10° ≤ 2θ ≤ 80°, by intensity:
d (Å)	Rel. int.
2.246	100
1.947	33
1.376	27
1.942	16
1.374	5
7.769	1
2.896	1
5.668	1
5.218	1
2.594	1


Structure and calculated X-ray diffraction stick pattern of ReIr8Ru2 (a crystal structure in Alexandria, relaxed with GGA-PBE; Cu Kα (weighted mean of Kα1 and Kα2)).

Atomic structure:
```
ReIr8Ru2
1.0
-1.912 3.811 5.765
1.912 -3.811 5.765
1.912 3.811 -5.765
Re Ir Ru
1 8 2
direct
0.000 0.000 0.000
0.088 0.836 0.252
0.171 0.671 0.500
0.252 0.500 0.752
0.416 0.164 0.252
0.584 0.836 0.748
0.748 0.500 0.248
0.829 0.329 0.500
0.912 0.164 0.748
0.333 0.333 0.000
0.667 0.667 0.000
```

Top 10 peaks for 10° ≤ 2θ ≤ 80°, by intensity:
d (Å)	Rel. int.
2.209	100
1.922	16
1.912	16
1.905	16
6.358	12
1.350	11
1.355	10
1.353	10
2.940	5
3.811	4